LiZnAsRh: computed X-ray diffraction stick pattern (Cu Ka), based on a cell relaxed with PBE.
Neutral-atom scattering factors, no anomalous dispersion.

Structural model:
```
data_LiZnAsRh
_cell_length_a 6.1029
_cell_length_b 6.1029
_cell_length_c 6.1029
_cell_angle_alpha 90.00
_cell_angle_beta 90.00
_cell_angle_gamma 90.00
_symmetry_space_group_name_H-M 'F -4 3 m'
_symmetry_Int_Tables_number 216
_symmetry_space_group_name_Hall 'F -4 2 3'
loop_
_atom_site_label
_atom_site_type_symbol
_atom_site_fract_x
_atom_site_fract_y
_atom_site_fract_z
_atom_site_occupancy
Li1 Li 0.0000 0.0000 0.0000 1
Zn1 Zn 0.2500 0.2500 0.7500 1
As1 As 0.2500 0.2500 0.2500 1
Rh1 Rh 0.0000 0.0000 0.5000 1
```

Largest 9 diffraction maxima, sorted by position, 2θ = 10–80°:
(hkl), 2θ/deg, I_rel
1 1 1, 25.28, 39
2 0 0, 29.27, 3
2 2 0, 41.87, 100
3 1 1, 49.54, 18
2 2 2, 51.90, 1
4 0 0, 60.70, 16
3 3 1, 66.82, 7
4 2 0, 68.79, 1
4 2 2, 76.46, 32